[1]
Starting from a DFT-relaxed cell (PBE, Alexandria), the PXRD pattern of YErSeO2 was computed for λ = 1.5418 Å (Cu Kα).
Neutral-atom scattering factors, no anomalous dispersion.

Atomic structure:
a = 6.4490 Å, b = 4.0056 Å, c = 7.5624 Å
α = 90.00°, β = 107.17°, γ = 90.00°
Space group P2_1/m (No. 11)
Inequivalent atoms, fractional coordinates:
1 Y 0.1820 0.2500 0.4249 [2 per cell]
2 Er 0.1748 0.2500 0.9164 [2 per cell]
3 Se 0.4550 0.7500 0.7409 [2 per cell]
4 O 0.0136 0.7500 0.8827 [2 per cell]
5 O 0.0205 0.7500 0.3755 [2 per cell]

Top 12 peaks for 2θ from 5° to 70°, sorted by position:
2θ (°)  I (rel.)  h k l
14.37  17  1 0 0
26.54  62  1 1 0
27.43  32  1 1 -1
32.18  100  1 0 2
33.39  62  1 1 -2
36.80  36  2 1 0
44.09  14  3 0 0
45.28  23  0 2 0
48.13  19  1 0 -4
55.80  16  0 1 4
56.63  39  1 2 2
62.66  20  4 1 -2

[2]
Starting from a DFT-relaxed cell (PBE, Alexandria), the PXRD pattern of Pr4Al3Ag was computed for λ = 1.5418 Å (Cu Kα).
Neutral-atom scattering factors, no anomalous dispersion.

Atomic structure:
a = 3.6996 Å, b = 3.6996 Å, c = 15.5803 Å
α = 90.00°, β = 90.00°, γ = 90.00°
Space group P4/mmm (No. 123)
Inequivalent atoms, fractional coordinates:
1 Pr 0.0000 0.0000 0.1236 [2 per cell]
2 Pr 0.0000 0.0000 0.3705 [2 per cell]
3 Al 0.5000 0.5000 0.0000 [1 per cell]
4 Al 0.5000 0.5000 0.2500 [2 per cell]
5 Ag 0.5000 0.5000 0.5000 [1 per cell]

Top 12 peaks for 2θ from 5° to 70°, sorted by position:
2θ (°)  I (rel.)  h k l
5.67  13  0 0 1
22.83  15  0 0 4
24.05  28  1 0 0
33.40  100  1 0 4
34.28  47  1 1 0
41.59  13  1 1 4
46.64  10  0 0 8
49.26  17  2 0 0
53.15  6  1 0 8
54.95  6  2 0 4
59.14  19  1 1 8
60.83  35  2 1 4

[3]
Starting from a DFT-relaxed cell (PBE, Alexandria), the PXRD pattern of KMg6TiO8 was computed for λ = 1.5418 Å (Cu Kα).
Neutral-atom scattering factors, no anomalous dispersion.

Atomic structure:
a = 4.4098 Å, b = 4.4098 Å, c = 8.7939 Å
α = 90.00°, β = 90.00°, γ = 90.00°
Space group P4/mmm (No. 123)
Inequivalent atoms, fractional coordinates:
1 K 0.0000 0.0000 0.0000 [1 per cell]
2 Mg 0.0000 0.0000 0.5000 [1 per cell]
3 Mg 0.0000 0.5000 0.2576 [4 per cell]
4 Mg 0.5000 0.5000 0.5000 [1 per cell]
5 Ti 0.5000 0.5000 0.0000 [1 per cell]
6 O 0.0000 0.0000 0.2763 [2 per cell]
7 O 0.0000 0.5000 0.0000 [2 per cell]
8 O 0.0000 0.5000 0.5000 [2 per cell]
9 O 0.5000 0.5000 0.2439 [2 per cell]

Top 12 peaks for 2θ from 5° to 70°, sorted by position:
2θ (°)  I (rel.)  h k l
10.06  10  0 0 1
20.19  4  0 0 2
28.63  3  1 1 0
30.45  8  0 0 3
35.29  28  1 1 2
40.93  100  2 0 0
41.06  47  0 0 4
42.29  2  1 1 3
46.05  1  2 0 2
51.89  2  2 0 3
59.33  82  2 2 0
68.10  2  2 2 3